Record 1
Tb3Y2Tm7: computed powder diffraction line list (Cu Kα, 1.54184 Å), based on a crystal structure in Alexandria, relaxed with PBE.

Atomic structure:
a b c (Å): 6.265 3.485 17.283
angles (deg): 90.00 96.28 90.00
Fractional positions:
Tb  0.000  0.000  0.000
Tb  0.051  0.500  0.657
Tb  0.949  0.500  0.343
Y  0.440  0.000  0.326
Y  0.560  0.000  0.674
Tm  0.226  0.500  0.164
Tm  0.246  0.000  0.501
Tm  0.274  0.000  0.834
Tm  0.500  0.500  0.000
Tm  0.726  0.000  0.166
Tm  0.754  0.000  0.499
Tm  0.774  0.500  0.836

Top 8 peaks for 2θ from 10° to 80°, low angle first:
- 2θ 30.09, rel. 40
- 2θ 31.20, rel. 100
- 2θ 31.73, rel. 56
- 2θ 34.25, rel. 37
- 2θ 35.24, rel. 44
- 2θ 50.98, rel. 20
- 2θ 53.52, rel. 21
- 2θ 62.36, rel. 28

=====

Record 2
Er2Ag2Te5: computed powder diffraction line list (Cu Kα, 1.54184 Å), based on a crystal structure in Alexandria, relaxed with PBE.

Atomic structure:
a b c (Å): 8.291 8.291 8.884
angles (deg): 122.08 122.08 34.00
Fractional positions:
Er  0.111  0.111  0.453
Er  0.889  0.889  0.547
Ag  0.433  0.433  0.101
Ag  0.567  0.567  0.899
Te  0.127  0.127  0.826
Te  0.345  0.345  0.720
Te  0.500  0.500  0.500
Te  0.655  0.655  0.280
Te  0.873  0.873  0.174

Top 8 peaks for 2θ from 10° to 80°, low angle first:
- 2θ 20.88, rel. 59
- 2θ 27.05, rel. 36
- 2θ 28.10, rel. 36
- 2θ 33.76, rel. 43
- 2θ 34.46, rel. 82
- 2θ 35.52, rel. 100
- 2θ 37.09, rel. 53
- 2θ 51.02, rel. 27

=====

Record 3
MgSnHg4: computed powder diffraction line list (Cu Kα, 1.54184 Å), based on a crystal structure in Alexandria, relaxed with PBE.

Atomic structure:
a b c (Å): 6.015 6.015 6.015
angles (deg): 60.00 60.00 60.00
Fractional positions:
Mg  0.000  0.000  0.000
Sn  0.750  0.750  0.750
Hg  0.375  0.375  0.375
Hg  0.375  0.375  0.875
Hg  0.375  0.875  0.375
Hg  0.875  0.375  0.375

Top 8 peaks for 2θ from 10° to 80°, low angle first:
- 2θ 18.06, rel. 58
- 2θ 34.98, rel. 100
- 2θ 36.59, rel. 74
- 2θ 42.51, rel. 24
- 2θ 46.53, rel. 16
- 2θ 56.18, rel. 35
- 2θ 61.68, rel. 34
- 2θ 73.90, rel. 30

=====

Record 4
Bi4Pb11: computed powder diffraction line list (Cu Kα, 1.54184 Å), based on a crystal structure in Alexandria, relaxed with PBE.

Atomic structure:
a b c (Å): 12.173 12.173 6.608
angles (deg): 90.00 90.00 90.00
Fractional positions:
Bi  0.049  0.349  0.000
Bi  0.151  0.549  0.500
Bi  0.349  0.049  0.000
Bi  0.451  0.849  0.500
Bi  0.549  0.151  0.500
Bi  0.651  0.951  0.000
Bi  0.849  0.451  0.500
Bi  0.951  0.651  0.000
Pb  0.000  0.000  0.500
Pb  0.062  0.278  0.500
Pb  0.092  0.092  0.000
Pb  0.186  0.814  0.252
Pb  0.186  0.814  0.748
Pb  0.222  0.562  0.000
Pb  0.278  0.062  0.500
Pb  0.314  0.314  0.248
Pb  0.314  0.314  0.752
Pb  0.408  0.592  0.500
Pb  0.438  0.778  0.000
Pb  0.500  0.500  0.000
Pb  0.562  0.222  0.000
Pb  0.592  0.408  0.500
Pb  0.686  0.686  0.248
Pb  0.686  0.686  0.752
Pb  0.722  0.938  0.500
Pb  0.778  0.438  0.000
Pb  0.814  0.186  0.252
Pb  0.814  0.186  0.748
Pb  0.908  0.908  0.000
Pb  0.938  0.722  0.500

Top 8 peaks for 2θ from 10° to 80°, low angle first:
- 2θ 30.27, rel. 100
- 2θ 30.79, rel. 32
- 2θ 31.17, rel. 35
- 2θ 31.68, rel. 60
- 2θ 33.24, rel. 60
- 2θ 34.07, rel. 35
- 2θ 35.82, rel. 28
- 2θ 64.67, rel. 33

=====

Record 5
La4HgC2: computed powder diffraction line list (Cu Kα, 1.54184 Å), based on a crystal structure in Alexandria, relaxed with PBE.

Atomic structure:
a b c (Å): 7.920 7.920 7.920
angles (deg): 111.70 111.68 105.12
Fractional positions:
La  0.057  0.484  0.573
La  0.088  0.016  0.072
La  0.412  0.484  0.927
La  0.443  0.016  0.428
La  0.513  0.588  0.570
La  0.518  0.943  0.930
La  0.982  0.912  0.425
La  0.987  0.557  0.075
Hg  0.625  0.375  0.250
Hg  0.875  0.125  0.750
C  0.248  0.250  0.498
C  0.250  0.748  0.498
C  0.252  0.750  0.002
C  0.750  0.752  0.002

Top 8 peaks for 2θ from 10° to 80°, low angle first:
- 2θ 19.97, rel. 59
- 2θ 27.30, rel. 100
- 2θ 29.59, rel. 59
- 2θ 31.58, rel. 74
- 2θ 37.02, rel. 28
- 2θ 37.64, rel. 83
- 2θ 47.57, rel. 37
- 2θ 52.30, rel. 31

=====

Record 6
La2Pr7Er3: computed powder diffraction line list (Cu Kα, 1.54184 Å), based on a crystal structure in Alexandria, relaxed with PBE.

Atomic structure:
a b c (Å): 5.997 3.670 19.312
angles (deg): 90.00 93.74 90.00
Fractional positions:
La  0.197  0.000  0.299
La  0.803  0.000  0.701
Pr  0.171  0.500  0.143
Pr  0.241  0.000  0.465
Pr  0.327  0.000  0.821
Pr  0.500  0.500  0.000
Pr  0.673  0.000  0.179
Pr  0.759  0.000  0.535
Pr  0.829  0.500  0.857
Er  0.000  0.000  0.000
Er  0.288  0.500  0.630
Er  0.712  0.500  0.370

Top 8 peaks for 2θ from 10° to 80°, low angle first:
- 2θ 27.78, rel. 29
- 2θ 29.91, rel. 67
- 2θ 30.34, rel. 100
- 2θ 30.62, rel. 34
- 2θ 30.72, rel. 40
- 2θ 31.37, rel. 34
- 2θ 32.49, rel. 35
- 2θ 33.62, rel. 28

=====

Record 7
NpZnH6Ir: computed powder diffraction line list (Cu Kα, 1.54184 Å), based on a crystal structure in Alexandria, relaxed with PBE.

Atomic structure:
a b c (Å): 4.546 4.546 4.429
angles (deg): 90.00 90.00 120.00
Fractional positions:
Np  0.000  0.000  0.000
Zn  0.333  0.667  0.500
H  0.511  0.022  0.214
H  0.511  0.022  0.786
H  0.511  0.489  0.214
H  0.511  0.489  0.786
H  0.978  0.489  0.214
H  0.978  0.489  0.786
Ir  0.667  0.333  0.500

Top 8 peaks for 2θ from 10° to 80°, low angle first:
- 2θ 22.58, rel. 14
- 2θ 30.38, rel. 100
- 2θ 39.65, rel. 42
- 2θ 40.74, rel. 13
- 2θ 50.75, rel. 25
- 2θ 58.16, rel. 28
- 2θ 66.25, rel. 22
- 2θ 67.79, rel. 11

=====

Record 8
Pm4SmY2: computed powder diffraction line list (Cu Kα, 1.54184 Å), based on a crystal structure in Alexandria, relaxed with PBE.

Atomic structure:
a b c (Å): 12.601 6.836 13.580
angles (deg): 67.07 29.98 82.96
Fractional positions:
Pm  0.145  0.299  0.070
Pm  0.180  0.764  0.105
Pm  0.299  0.145  0.486
Pm  0.379  0.621  0.479
Pm  0.621  0.379  0.521
Pm  0.729  0.771  0.629
Pm  0.764  0.180  0.951
Pm  0.771  0.729  0.871
Sm  0.014  0.014  0.986
Sm  0.264  0.264  0.236
Y  0.206  0.691  0.362
Y  0.510  0.888  0.559
Y  0.691  0.206  0.740
Y  0.888  0.510  0.044

Top 8 peaks for 2θ from 10° to 80°, low angle first:
- 2θ 30.07, rel. 100
- 2θ 30.62, rel. 38
- 2θ 31.28, rel. 63
- 2θ 32.03, rel. 38
- 2θ 32.16, rel. 29
- 2θ 36.90, rel. 25
- 2θ 50.18, rel. 20
- 2θ 54.95, rel. 20

=====

Record 9
Pm3Sm2Ge4: computed powder diffraction line list (Cu Kα, 1.54184 Å), based on a crystal structure in Alexandria, relaxed with PBE.

Atomic structure:
a b c (Å): 8.180 7.992 7.822
angles (deg): 90.00 112.62 90.00
Fractional positions:
Pm  0.000  0.000  0.000
Pm  0.000  0.500  0.500
Pm  0.297  0.180  0.437
Pm  0.297  0.320  0.937
Pm  0.703  0.680  0.063
Pm  0.703  0.820  0.563
Sm  0.267  0.663  0.279
Sm  0.267  0.837  0.779
Sm  0.733  0.163  0.221
Sm  0.733  0.337  0.721
Ge  0.007  0.127  0.624
Ge  0.007  0.373  0.124
Ge  0.411  0.533  0.680
Ge  0.411  0.967  0.180
Ge  0.589  0.033  0.820
Ge  0.589  0.467  0.320
Ge  0.993  0.627  0.876
Ge  0.993  0.873  0.376

Top 8 peaks for 2θ from 10° to 80°, low angle first:
- 2θ 25.47, rel. 48
- 2θ 31.47, rel. 100
- 2θ 32.11, rel. 61
- 2θ 32.65, rel. 84
- 2θ 33.30, rel. 87
- 2θ 34.75, rel. 48
- 2θ 35.93, rel. 47
- 2θ 36.33, rel. 90

=====

Record 10
DyGaCu2Ni2: computed powder diffraction line list (Cu Kα, 1.54184 Å), based on a crystal structure in Alexandria, relaxed with PBE.

Atomic structure:
a b c (Å): 4.352 4.352 5.406
angles (deg): 90.00 90.00 90.00
Fractional positions:
Dy  0.000  0.000  0.000
Ga  0.000  0.000  0.500
Cu  0.500  0.500  0.243
Cu  0.500  0.500  0.757
Ni  0.000  0.500  0.500
Ni  0.500  0.000  0.500

Top 8 peaks for 2θ from 10° to 80°, low angle first:
- 2θ 20.41, rel. 17
- 2θ 29.02, rel. 47
- 2θ 33.14, rel. 15
- 2θ 33.51, rel. 56
- 2θ 39.24, rel. 100
- 2θ 41.50, rel. 78
- 2θ 58.43, rel. 60
- 2θ 60.14, rel. 25